Simulated X-ray powder pattern
Compound: Li5Fe3O2F10
Radiation: Cu Kα (weighted mean of Kα1 and Kα2)
Structure: a cell relaxed with PBE+U
Intensities are scaled so that the largest is 100.

Atomic structure:
abc: 5.1408 5.5489 8.9582
angles: 106.60 90.05 116.93
Space group P1 (No. 1)
Asymmetric unit:
Li  0.0000  0.0000  0.0000
Li  0.0959  0.1592  0.3617
Li  0.5885  0.0621  0.5140
Li  0.6856  0.2106  0.8525
Li  0.7914  0.5393  0.2683
Fe  0.3221  0.5871  0.7631
Fe  0.3442  0.6393  0.1233
Fe  0.8566  0.6608  0.6180
O  0.7375  0.8488  0.7973
O  0.9107  0.4074  0.7120
F  0.2796  0.8639  0.3094
F  0.2988  0.8474  0.9851
F  0.2999  0.8882  0.6604
F  0.3555  0.3632  0.2128
F  0.3687  0.3837  0.9118
F  0.4012  0.3690  0.5599
F  0.7721  0.8477  0.1591
F  0.8100  0.8481  0.4667
F  0.8621  0.3716  0.4114
F  0.9172  0.3775  0.0678

Principal peaks in the range 15° ≤ 2θ ≤ 90°, sorted by position:
18.9°, I = 100; 20.9°, I = 65; 39.7°, I = 54; 39.8°, I = 52; 40.3°, I = 52; 62.5°, I = 30